1.
This entry pairs a crystal structure of Pr6CdFe13 with its theoretical powder X-ray diffraction pattern. Radiation: a wavelength of 1.5418 Å. Structure: a GGA-PBE-relaxed structure.
Intensities are scaled so that the largest is 100.

Main lines, by angle (2θ from 10° to 80°):
d 3.282, intensity 91
d 2.870, intensity 84
d 2.854, intensity 34
d 2.820, intensity 44
d 2.626, intensity 38
d 2.552, intensity 100
d 2.385, intensity 67
d 2.125, intensity 61
d 1.951, intensity 45
d 1.600, intensity 34

Structural model:
Unit cell a=13.134 b=13.134 c=13.134 alpha=144.21 beta=144.21 gamma=51.51
Sites, in units of the cell vectors:
1 Pr 0.020 0.520 0.174
2 Pr 0.104 0.104 0.000
3 Pr 0.153 0.980 0.500
4 Pr 0.347 0.847 0.826
5 Pr 0.396 0.396 0.000
6 Pr 0.480 0.653 0.500
7 Pr 0.520 0.347 0.500
8 Pr 0.604 0.604 0.000
9 Pr 0.653 0.153 0.174
10 Pr 0.847 0.020 0.500
11 Pr 0.896 0.896 0.000
12 Pr 0.980 0.480 0.826
13 Cd 0.250 0.250 0.000
14 Cd 0.750 0.750 0.000
15 Fe 0.000 0.500 0.500
16 Fe 0.021 0.294 0.500
17 Fe 0.066 0.210 0.277
18 Fe 0.121 0.621 0.858
19 Fe 0.206 0.479 0.500
20 Fe 0.210 0.934 0.144
21 Fe 0.237 0.737 0.858
22 Fe 0.263 0.121 0.500
23 Fe 0.290 0.434 0.723
24 Fe 0.294 0.794 0.274
25 Fe 0.379 0.237 0.500
26 Fe 0.434 0.710 0.144
27 Fe 0.479 0.979 0.274
28 Fe 0.500 0.000 0.500
29 Fe 0.521 0.021 0.726
30 Fe 0.566 0.290 0.856
31 Fe 0.621 0.763 0.500
32 Fe 0.706 0.206 0.726
33 Fe 0.710 0.566 0.277
34 Fe 0.737 0.879 0.500
35 Fe 0.763 0.263 0.142
36 Fe 0.790 0.066 0.856
37 Fe 0.794 0.521 0.500
38 Fe 0.879 0.379 0.142
39 Fe 0.934 0.790 0.723
40 Fe 0.979 0.706 0.500

***

2.
This entry pairs a crystal structure of RbCdFe2Te with its theoretical powder X-ray diffraction pattern. Radiation: a wavelength of 1.5418 Å. Structure: a GGA-PBE-relaxed structure.
Intensities are scaled so that the largest is 100.

Main lines, by angle (2θ from 10° to 80°):
d 3.994, intensity 70
d 3.497, intensity 46
d 3.386, intensity 100
d 3.108, intensity 63
d 2.473, intensity 84
d 2.433, intensity 35
d 1.997, intensity 88
d 1.749, intensity 29
d 1.554, intensity 38
d 1.397, intensity 26

Structural model:
Unit cell a=4.946 b=4.946 c=6.772 alpha=90.00 beta=90.00 gamma=90.00
Sites, in units of the cell vectors:
1 Rb 0.000 0.000 0.000
2 Cd 0.500 0.500 0.000
3 Fe 0.000 0.500 0.500
4 Fe 0.500 0.000 0.500
5 Te 0.000 0.000 0.500

***

3.
This entry pairs a crystal structure of Cd3FeS4 with its theoretical powder X-ray diffraction pattern. Radiation: a wavelength of 1.5418 Å. Structure: a GGA-PBE-relaxed structure.
Intensities are scaled so that the largest is 100.

Main lines, by angle (2θ from 10° to 80°):
d 3.341, intensity 100
d 2.903, intensity 7
d 2.888, intensity 14
d 2.047, intensity 35
d 2.042, intensity 19
d 1.749, intensity 12
d 1.742, intensity 29
d 1.444, intensity 6
d 1.328, intensity 9
d 1.326, intensity 6

Structural model:
Unit cell a=4.084 b=4.084 c=11.611 alpha=90.00 beta=90.00 gamma=90.00
Sites, in units of the cell vectors:
1 Cd 0.000 0.000 0.000
2 Cd 0.500 0.500 0.264
3 Cd 0.500 0.500 0.736
4 Fe 0.000 0.000 0.500
5 S 0.000 0.500 0.132
6 S 0.000 0.500 0.602
7 S 0.500 0.000 0.398
8 S 0.500 0.000 0.868

***

4.
This entry pairs a crystal structure of Cd2FeSb with its theoretical powder X-ray diffraction pattern. Radiation: a wavelength of 1.5418 Å. Structure: a GGA-PBE-relaxed structure.
Intensities are scaled so that the largest is 100.

Main lines, by angle (2θ from 10° to 80°):
d 3.148, intensity 66
d 2.880, intensity 16
d 2.431, intensity 13
d 2.325, intensity 100
d 2.138, intensity 19
d 1.969, intensity 21
d 1.937, intensity 11
d 1.574, intensity 14
d 1.349, intensity 15
d 1.343, intensity 12

Structural model:
Unit cell a=6.980 b=6.980 c=6.980 alpha=155.56 beta=141.06 gamma=46.51
Sites, in units of the cell vectors:
1 Cd 0.000 0.000 0.000
2 Cd 0.666 0.166 0.500
3 Fe 0.482 0.482 0.000
4 Sb 0.310 0.810 0.500

***

5.
This entry pairs a crystal structure of CdFe2Sb with its theoretical powder X-ray diffraction pattern. Radiation: a wavelength of 1.5418 Å. Structure: a GGA-PBE-relaxed structure.
Intensities are scaled so that the largest is 100.

Main lines, by angle (2θ from 10° to 80°):
d 3.890, intensity 24
d 2.873, intensity 88
d 2.594, intensity 25
d 2.420, intensity 100
d 2.186, intensity 86
d 1.987, intensity 67
d 1.672, intensity 25
d 1.546, intensity 27
d 1.303, intensity 25
d 1.220, intensity 25

Structural model:
Unit cell a=3.092 b=3.092 c=7.781 alpha=90.00 beta=90.00 gamma=90.00
Sites, in units of the cell vectors:
1 Cd 0.000 0.000 0.000
2 Fe 0.000 0.000 0.379
3 Fe 0.500 0.500 0.231
4 Sb 0.500 0.500 0.599

***

6.
This entry pairs a crystal structure of Sc5CdFe with its theoretical powder X-ray diffraction pattern. Radiation: a wavelength of 1.5418 Å. Structure: a GGA-PBE-relaxed structure.
Intensities are scaled so that the largest is 100.

Main lines, by angle (2θ from 10° to 80°):
d 4.108, intensity 35
d 4.007, intensity 22
d 2.837, intensity 21
d 2.705, intensity 32
d 2.639, intensity 64
d 2.600, intensity 26
d 2.572, intensity 100
d 2.458, intensity 53
d 2.191, intensity 23
d 2.055, intensity 17

Structural model:
Unit cell a=5.395 b=5.395 c=11.062 alpha=102.56 beta=102.56 gamma=78.59
Sites, in units of the cell vectors:
1 Sc 0.027 0.973 0.750
2 Sc 0.079 0.404 0.619
3 Sc 0.202 0.541 0.932
4 Sc 0.404 0.079 0.119
5 Sc 0.459 0.798 0.568
6 Sc 0.541 0.202 0.432
7 Sc 0.596 0.921 0.881
8 Sc 0.798 0.459 0.068
9 Sc 0.921 0.596 0.381
10 Sc 0.973 0.027 0.250
11 Cd 0.392 0.608 0.250
12 Cd 0.608 0.392 0.750
13 Fe 0.000 0.000 0.000
14 Fe 0.000 0.000 0.500

***

7.
This entry pairs a crystal structure of Cd2FeSe with its theoretical powder X-ray diffraction pattern. Radiation: a wavelength of 1.5418 Å. Structure: a GGA-PBE-relaxed structure.
Intensities are scaled so that the largest is 100.

Main lines, by angle (2θ from 10° to 80°):
d 2.853, intensity 73
d 2.526, intensity 100
d 2.223, intensity 53
d 2.168, intensity 14
d 2.062, intensity 15
d 2.047, intensity 27
d 1.667, intensity 14
d 1.506, intensity 29
d 1.439, intensity 17
d 1.292, intensity 14

Structural model:
Unit cell a=4.094 b=3.333 c=6.308 alpha=90.00 beta=108.87 gamma=90.00
Sites, in units of the cell vectors:
1 Cd 0.000 0.000 0.000
2 Cd 0.342 0.500 0.683
3 Fe 0.774 0.000 0.547
4 Se 0.631 0.500 0.260

***

8.
This entry pairs a crystal structure of Cd2FeSe with its theoretical powder X-ray diffraction pattern. Radiation: a wavelength of 1.5418 Å. Structure: a GGA-PBE-relaxed structure.
Intensities are scaled so that the largest is 100.

Main lines, by angle (2θ from 10° to 80°):
d 3.019, intensity 85
d 2.885, intensity 26
d 2.344, intensity 43
d 2.312, intensity 100
d 1.973, intensity 20
d 1.915, intensity 33
d 1.509, intensity 16
d 1.453, intensity 21
d 1.347, intensity 16
d 1.275, intensity 14

Structural model:
Unit cell a=6.538 b=6.538 c=6.538 alpha=153.70 beta=137.99 gamma=50.24
Sites, in units of the cell vectors:
1 Cd 0.000 0.000 0.000
2 Cd 0.667 0.167 0.500
3 Fe 0.468 0.468 0.000
4 Se 0.317 0.817 0.500